Diffraction record for La2SmZn4Ge4. The X-ray diffraction stick pattern is simulated, not measured: it uses DFT lattice parameters and positions (GGA-PBE) and λ = 1.5418 Å (Cu Kα).

Structural model:
```
La2SmZn4Ge4
1.0
-2.1265 2.1486 12.6715
2.1265 -2.1486 12.6715
2.1265 2.1486 -12.6715
La Sm Zn Ge
2 1 4 4
Direct
0.1449 0.1449 0.0000
0.8551 0.8551 0.0000
0.5000 0.0000 0.5000
0.2500 0.7500 0.5000
0.4066 0.4066 0.0000
0.5934 0.5934 0.0000
0.7500 0.2500 0.5000
0.0486 0.5486 0.5000
0.3088 0.3088 0.0000
0.6912 0.6912 0.0000
0.9514 0.4514 0.5000
```

Main lines, most intense first (10 to 80 degrees two-theta):
2theta  I (rel.)
32.8  100
32.5  50
44.6  29
42.1  29
42.5  28
54.1  23